Structure and calculated X-ray powder pattern of CoP2PdO7 (a cell relaxed with GGA+U; CuKα).
Peak positions follow from Bragg's law for the DFT cell and can differ from measured ones.

Cell and atoms:
```
11
Lattice="4.5286 0.0000 0.0000 -0.9179 5.2745 0.0000 -0.9117 -1.3177 5.1144" Properties=species:S:1:pos:R:3 pbc="T T T"
Co 0.0000 0.0000 0.0000
P 0.6046 3.9117 2.6500
P 2.1272 2.3392 0.6034
Pd -0.9066 1.1550 3.1661
O -0.3831 3.1325 3.5454
O 0.9052 -0.4251 1.6709
O 0.1271 0.4027 4.8089
O 1.3714 2.7080 1.9494
O 2.5988 -0.6274 3.4825
O 1.8290 2.2023 5.0521
O 3.1165 1.2766 1.1368
```

Main lines, by intensity (15 to 90 degrees two-theta):
(hkl)  two_theta  I (rel.)
-1 1 1  29.63  100
0 0 2  35.12  27
0 1 0  17.35  12
1 0 0  20.38  12
2 1 1  57.01  12
-2 1 1  43.34  11
1 -1 2  42.87  10
2 0 -2  48.74  9
2 2 -1  58.56  9
1 -3 0  53.37  9